1.
The following is a theoretical PXRD pattern of MoP2PtO. It was derived from a GGA+U-relaxed structure, using Cu Kα X-rays.

Structural model:
Cell lengths 4.845, 4.845, 3.712 Å; angles 90.00, 90.00, 90.00 degrees
Space group P4/mmm (No. 123)
Inequivalent atoms, fractional coordinates:
1 Mo 0.000 0.000 0.000
2 P 0.000 0.500 0.000
3 Pt 0.500 0.500 0.500
4 O 0.000 0.000 0.500

Top 12 peaks for 10° ≤ 2θ ≤ 80°, by angle:
index, two_theta, d_spacing, Rel. int.
1 0 0, 18.31, 4.845, 12
1 1 0, 26.01, 3.426, 59
1 0 1, 30.33, 2.947, 100
1 1 1, 35.66, 2.518, 26
2 0 0, 37.11, 2.423, 53
2 1 1, 48.66, 1.871, 55
2 2 0, 53.49, 1.713, 18
1 1 2, 56.38, 1.632, 14
3 0 1, 62.74, 1.481, 13
2 0 2, 63.10, 1.473, 22
3 2 1, 75.20, 1.264, 16
2 2 2, 75.53, 1.259, 13


2.
The following is a theoretical PXRD pattern of RbMo3P2O14. It was derived from a GGA+U-relaxed structure, using Cu Kα X-rays.

Structural model:
Cell lengths 9.365, 6.508, 10.834 Å; angles 90.00, 110.50, 90.00 degrees
Space group P2_1/m (No. 11)
Inequivalent atoms, fractional coordinates:
1 Rb 0.013 0.250 0.250
2 Mo 0.272 0.750 0.177
3 Mo 0.285 0.750 0.497
4 Mo 0.348 0.250 0.880
5 P 0.363 0.250 0.567
6 P 0.394 0.250 0.200
7 O 0.113 0.750 0.036
8 O 0.135 0.750 0.553
9 O 0.173 0.750 0.302
10 O 0.238 0.035 0.872
11 O 0.290 0.061 0.193
12 O 0.298 0.061 0.478
13 O 0.304 0.250 0.683
14 O 0.437 0.750 0.116
15 O 0.450 0.250 0.081
16 O 0.461 0.750 0.385
17 O 0.467 0.750 0.672

Top 12 peaks for 10° ≤ 2θ ≤ 80°, by angle:
index, two_theta, d_spacing, Rel. int.
1 0 0, 10.08, 8.772, 53
2 0 0, 20.25, 4.386, 30
1 1 1, 20.68, 4.296, 70
2 1 -1, 23.46, 3.791, 100
0 0 3, 26.35, 3.383, 47
2 0 -3, 27.07, 3.294, 47
0 2 0, 27.41, 3.254, 100
0 1 3, 29.77, 3.001, 25
3 0 0, 30.57, 2.924, 25
3 1 0, 33.60, 2.668, 22
3 1 3, 49.85, 1.829, 23
3 3 3, 65.13, 1.432, 22